[1]
Theoretical X-ray diffraction stick pattern of NaFe2PbF9 for Cu Kα (weighted mean of Kα1 and Kα2), from a crystal structure in the Materials Project, relaxed with PBE+U.
No peak broadening, texture or thermal motion is included.

The 6 most intense peaks (2θ = 10–90°), low angle first:
2θ = 13.86°, 6.391 Å, intensity 68
2θ = 14.11°, 6.279 Å, intensity 63
2θ = 26.34°, 3.384 Å, intensity 70
2θ = 27.09°, 3.292 Å, intensity 36
2θ = 27.56°, 3.237 Å, intensity 60
2θ = 27.92°, 3.196 Å, intensity 100

Structural model:
```
data_NaFe2PbF9
_chemical_formula_sum 'Na4 Fe8 Pb4 F36'
_cell_length_a 7.437
_cell_length_b 12.558
_cell_length_c 7.745
_cell_angle_alpha 90.00
_cell_angle_beta 93.35
_cell_angle_gamma 90.00
_symmetry_space_group_name_H-M 'C 1 2/c 1'
_symmetry_Int_Tables_number 15
loop_
_symmetry_equiv_pos_as_xyz
'x,y,z'
'-x,-y,-z'
'-x,y,-z+1/2'
'x,-y,z+1/2'
'x+1/2,y+1/2,z'
'-x+1/2,-y+1/2,-z'
'-x+1/2,y+1/2,-z+1/2'
'x+1/2,-y+1/2,z+1/2'
loop_
_atom_site_label
_atom_site_fract_x
_atom_site_fract_y
_atom_site_fract_z
_atom_site_occupancy
Na1 0.250 0.250 0.000 1
Fe1 0.000 0.000 0.000 1
Fe2 0.250 0.250 0.500 1
Pb1 0.000 0.473 0.250 1
F1 0.000 0.025 0.750 1
F2 0.042 0.152 0.462 1
F3 0.078 0.353 0.579 1
F4 0.204 0.310 0.270 1
F5 0.247 0.462 0.976 1
```

[2]
Theoretical X-ray diffraction stick pattern of NaLi2FePCO7 for Cu Kα (weighted mean of Kα1 and Kα2), from a crystal structure in the Materials Project, relaxed with PBE+U.
No peak broadening, texture or thermal motion is included.

The 6 most intense peaks (2θ = 10–90°), low angle first:
2θ = 10.26°, 8.622 Å, intensity 75
2θ = 20.09°, 4.420 Å, intensity 26
2θ = 20.72°, 4.288 Å, intensity 25
2θ = 26.73°, 3.335 Å, intensity 100
2θ = 35.61°, 2.521 Å, intensity 29
2θ = 55.07°, 1.668 Å, intensity 21

Structural model:
```
data_NaLi2FePCO7
_chemical_formula_sum 'Na4 Li8 Fe4 P4 C4 O28'
_cell_length_a 6.670
_cell_length_b 8.627
_cell_length_c 10.091
_cell_angle_alpha 92.00
_cell_angle_beta 90.09
_cell_angle_gamma 90.15
_symmetry_space_group_name_H-M 'P 1'
_symmetry_Int_Tables_number 1
loop_
_symmetry_equiv_pos_as_xyz
'x,y,z'
loop_
_atom_site_label
_atom_site_fract_x
_atom_site_fract_y
_atom_site_fract_z
_atom_site_occupancy
Na1 0.000 0.000 0.000 1
Na2 0.000 0.489 0.749 1
Na3 0.495 0.492 0.251 1
Na4 0.740 0.661 0.002 1
Li1 0.015 0.012 0.509 1
Li2 0.242 0.839 0.255 1
Li3 0.269 0.841 0.748 1
Li4 0.472 0.021 0.014 1
Li5 0.482 0.013 0.508 1
Li6 0.521 0.469 0.733 1
Li7 0.753 0.658 0.499 1
Li8 0.973 0.470 0.241 1
Fe1 0.244 0.389 0.014 1
Fe2 0.251 0.396 0.511 1
Fe3 0.742 0.095 0.239 1
Fe4 0.748 0.090 0.732 1
P1 0.240 0.152 0.274 1
P2 0.260 0.153 0.765 1
P3 0.736 0.327 0.977 1
P4 0.755 0.336 0.476 1
C1 0.247 0.706 0.491 1
C2 0.259 0.700 0.989 1
C3 0.738 0.788 0.752 1
C4 0.755 0.799 0.270 1
O1 0.058 0.047 0.237 1
O2 0.067 0.062 0.721 1
O3 0.222 0.316 0.216 1
O4 0.244 0.589 0.898 1
O5 0.245 0.850 0.460 1
O6 0.248 0.664 0.614 1
O7 0.249 0.599 0.396 1
O8 0.251 0.666 0.113 1
O9 0.255 0.170 0.429 1
O10 0.270 0.169 0.920 1
O11 0.272 0.318 0.709 1
O12 0.281 0.841 0.952 1
O13 0.424 0.060 0.219 1
O14 0.434 0.047 0.713 1
O15 0.556 0.428 0.025 1
O16 0.570 0.436 0.519 1
O17 0.715 0.642 0.771 1
O18 0.727 0.162 0.034 1
O19 0.733 0.312 0.822 1
O20 0.736 0.894 0.372 1
O21 0.749 0.855 0.152 1
O22 0.749 0.887 0.853 1
O23 0.752 0.171 0.533 1
O24 0.752 0.840 0.633 1
O25 0.760 0.318 0.321 1
O26 0.779 0.651 0.288 1
O27 0.927 0.418 0.025 1
O28 0.938 0.434 0.523 1
```